This entry pairs a crystal structure of CaMgAsO4F with its simulated XRD peak list. Radiation: Cu Kα (λ = 1.5418 Å). Structure: the GGA-PBE geometry in the Materials Project.

abc: 5.665 5.665 7.206
angles: 103.89 103.89 106.15
Sites, in units of the cell vectors:
Ca1 0.168 0.832 0.750
Ca2 0.832 0.168 0.250
Mg1 0.500 0.500 0.000
Mg2 0.500 0.500 0.500
As1 0.178 0.822 0.250
As2 0.822 0.178 0.750
O1 0.119 0.239 0.922
O2 0.172 0.602 0.380
O3 0.239 0.119 0.422
O4 0.398 0.828 0.120
O5 0.602 0.172 0.880
O6 0.761 0.881 0.578
O7 0.828 0.398 0.620
O8 0.881 0.761 0.078
F1 0.418 0.582 0.750
F2 0.582 0.418 0.250

Peak list (6 most intense, 2θ from 10° to 80°, sorted by position)
- d = 3.319 Å, 2θ 26.86, I 67
- d = 3.303 Å, 2θ 27.00, I 40
- d = 3.120 Å, 2θ 28.61, I 88
- d = 2.926 Å, 2θ 30.56, I 43
- d = 2.717 Å, 2θ 32.96, I 100
- d = 2.669 Å, 2θ 33.58, I 48